Theoretical powder diffraction line list
Compound: Mg3Au13
Radiation: a wavelength of 1.5418 Å
Structure: a structure optimized by DFT (PBE)
No peak broadening, texture or thermal motion is included.

Principal peaks in the range 2θ from 10° to 80°, sorted by position:
two_theta	I (rel.)
21.23	4
22.13	8
26.82	5
37.51	100
43.24	17
43.76	34
63.20	22
63.60	12
75.50	13
76.24	26

Structure:
Cell lengths 4.138, 4.138, 16.740 Å; angles 90.00, 90.00, 90.00 degrees
Fractional coordinates of all 16 atoms:
Mg 0.000 0.000 0.000
Mg 0.000 0.000 0.251
Mg 0.500 0.500 0.750
Au 0.000 0.000 0.502
Au 0.000 0.000 0.751
Au 0.000 0.500 0.126
Au 0.000 0.500 0.373
Au 0.000 0.500 0.629
Au 0.000 0.500 0.876
Au 0.500 0.000 0.126
Au 0.500 0.000 0.373
Au 0.500 0.000 0.629
Au 0.500 0.000 0.876
Au 0.500 0.500 0.002
Au 0.500 0.500 0.250
Au 0.500 0.500 0.499